(1)
This entry pairs a crystal structure of Li3SnB5O10 with its computed X-ray powder pattern. Radiation: Cu Kα X-rays. Structure: DFT lattice parameters and positions (GGA-PBE).
Lines closer than 0.1° are merged.

Structure:
```
data_Li3SnB5O10
_chemical_formula_sum 'Li6 Sn2 B10 O20'
_cell_length_a 6.843
_cell_length_b 7.238
_cell_length_c 9.629
_cell_angle_alpha 84.08
_cell_angle_beta 76.44
_cell_angle_gamma 72.19
_symmetry_space_group_name_H-M 'P -1'
_symmetry_Int_Tables_number 2
_symmetry_space_group_name_Hall '-P 1'
loop_
_atom_site_label
_atom_site_type_symbol
_atom_site_fract_x
_atom_site_fract_y
_atom_site_fract_z
Li1 Li 0.044 0.172 0.473
Li2 Li 0.150 0.572 0.269
Li3 Li 0.261 0.982 0.831
Sn1 Sn 0.230 0.535 0.864
B1 B 0.204 0.185 0.158
B2 B 0.255 0.854 0.095
B3 B 0.314 0.255 0.592
B4 B 0.348 0.780 0.575
B5 B 0.348 0.906 0.321
O1 O 0.106 0.302 0.613
O2 O 0.116 0.380 0.135
O3 O 0.215 0.750 0.003
O4 O 0.236 0.784 0.712
O5 O 0.238 0.875 0.470
O6 O 0.240 0.051 0.052
O7 O 0.256 0.115 0.286
O8 O 0.300 0.782 0.226
O9 O 0.425 0.135 0.691
O10 O 0.438 0.312 0.464
```

Most intense lines, 10 to 80 degrees two-theta, in order of falling intensity:
- 3.182 Å, I 100, (2 0 0)
- 3.022 Å, I 89, (1 2 2)
- 4.378 Å, I 89, (1 1 -1)
- 5.880 Å, I 81, (1 0 1)
- 5.296 Å, I 80, (1 1 1)
- 5.638 Å, I 68, (0 1 1)
- 3.941 Å, I 66, (1 -1 1)
- 3.250 Å, I 58, (1 1 -2)


(2)
This entry pairs a crystal structure of Tm2ReC2 with its computed X-ray powder pattern. Radiation: Cu Kα X-rays. Structure: DFT lattice parameters and positions (GGA-PBE).
Lines closer than 0.1° are merged.

Structure:
```
data_Tm2ReC2
_chemical_formula_sum 'Tm8 Re4 C8'
_cell_length_a 6.517
_cell_length_b 5.036
_cell_length_c 9.729
_cell_angle_alpha 90.00
_cell_angle_beta 90.00
_cell_angle_gamma 90.00
_symmetry_space_group_name_H-M 'P n m a'
_symmetry_Int_Tables_number 62
_symmetry_space_group_name_Hall '-P 2ac 2n'
loop_
_atom_site_label
_atom_site_type_symbol
_atom_site_fract_x
_atom_site_fract_y
_atom_site_fract_z
Tm1 Tm 0.031 0.250 0.218
Tm2 Tm 0.182 0.250 0.556
Re1 Re 0.224 0.250 0.868
C1 C 0.042 0.750 0.240
C2 C 0.173 0.750 0.554
```

Most intense lines, 10 to 80 degrees two-theta, in order of falling intensity:
- 2.517 Å, I 100, (0 2 0)
- 2.634 Å, I 84, (2 1 1)
- 2.727 Å, I 69, (0 1 3)
- 2.736 Å, I 27, (2 1 0)
- 1.542 Å, I 26, (2 2 4)
- 2.707 Å, I 24, (2 0 2)
- 1.476 Å, I 22, (2 3 1)
- 1.844 Å, I 16, (2 2 2)